Na3MgBiO4: calculated powder diffraction line list (Cu Kα X-rays), based on a cell relaxed with PBE.

Top 10 peaks for 2θ from 10° to 80°, in order of rising 2θ:
Position (°2θ)	I (rel.)
15.12	76.8
15.49	100.0
26.58	66.7
30.76	29.9
30.95	73.9
31.27	42.4
37.97	53.1
38.43	46.2
40.91	28.1
49.85	25.2

Atomic structure:
Unit cell a=3.348 b=6.713 c=6.713 alpha=58.46 beta=90.00 gamma=90.00
Fractional positions:
Na (0.000, 0.000, 0.000)
Na (0.500, 0.113, 0.606)
Na (0.500, 0.606, 0.113)
Mg (0.500, 0.182, 0.182)
Bi (0.000, 0.623, 0.623)
O (0.000, 0.275, 0.275)
O (0.000, 0.807, 0.807)
O (0.500, 0.312, 0.833)
O (0.500, 0.833, 0.312)

---

RbHoO2: calculated powder diffraction line list (Cu Kα X-rays), based on a cell relaxed with PBE.

Top 10 peaks for 2θ from 10° to 80°, in order of rising 2θ:
Position (°2θ)	I (rel.)
13.51	35.8
27.20	43.7
30.92	84.3
34.82	100.0
47.66	35.9
52.38	31.4
55.75	21.0
60.02	32.5
62.08	12.3
64.45	15.9

Atomic structure:
Unit cell a=6.859 b=6.859 c=6.859 alpha=29.51 beta=29.51 gamma=29.51
Fractional positions:
Rb (0.000, 0.000, 0.000)
Ho (0.500, 0.500, 0.500)
O (0.225, 0.225, 0.225)
O (0.775, 0.775, 0.775)

---

CeGdN2: calculated powder diffraction line list (Cu Kα X-rays), based on a cell relaxed with PBE.

Top 10 peaks for 2θ from 10° to 80°, in order of rising 2θ:
Position (°2θ)	I (rel.)
30.90	100.0
35.74	49.5
36.01	24.3
51.45	17.1
51.64	33.7
61.23	30.1
61.58	14.8
64.39	17.0
75.73	5.3
76.36	2.6

Atomic structure:
Unit cell a=3.552 b=3.552 c=4.988 alpha=90.00 beta=90.00 gamma=90.00
Fractional positions:
Ce (0.000, 0.000, 0.000)
Gd (0.500, 0.500, 0.500)
N (0.000, 0.000, 0.500)
N (0.500, 0.500, 0.000)